Entry 1:
# K4Au
Theoretical XRD peak list, CuKα. Input: a DFT-relaxed cell (GGA-PBE, Alexandria).

Top 12 peaks for 15 to 90 degrees two-theta, by angle:
hkl	2theta	I (rel.)
2 0 0	15.89	36
1 0 1	22.39	14
3 1 0	25.25	37
1 2 1	27.58	100
3 0 1	31.99	12
4 0 0	32.10	19
2 3 1	35.91	42
4 2 0	36.02	19
1 4 1	39.49	11
4 4 0	45.97	20
3 1 2	50.12	11
1 6 1	54.51	15

a = 11.1520 Å, b = 11.1520 Å, c = 4.2497 Å
α = 90.00°, β = 90.00°, γ = 90.00°
Space group I4/m (No. 87)
One atom of each set of equivalent atoms:
K  0.0547  0.7563  0.0000
Au  0.0000  0.0000  0.5000

Entry 2:
# K4Au3
Theoretical XRD peak list, CuKα. Input: a DFT-relaxed cell (GGA-PBE, Alexandria).

Top 12 peaks for 15 to 90 degrees two-theta, by angle:
hkl	2theta	I (rel.)
0 1 1	19.86	100
1 2 0	20.21	79
2 -1 1	22.64	25
1 2 1	27.40	53
3 0 1	29.52	33
4 -2 1	32.45	27
3 1 1	33.38	41
4 1 0	35.38	86
0 4 1	36.03	33
0 0 2	37.12	21
5 -3 1	38.53	30
4 1 2	52.21	34

a = 13.4264 Å, b = 13.4264 Å, c = 4.8436 Å
α = 90.00°, β = 90.00°, γ = 120.00°
Space group P-3 (No. 147)
One atom of each set of equivalent atoms:
K  0.0032  0.2382  0.2475
K  0.1406  0.6216  0.2493
Au  0.0000  0.0000  0.5000
Au  0.1488  0.4346  0.7486
Au  0.3333  0.6667  0.7493

Entry 3:
# K8Au3
Theoretical XRD peak list, CuKα. Input: a DFT-relaxed cell (GGA-PBE, Alexandria).

Top 12 peaks for 15 to 90 degrees two-theta, by angle:
hkl	2theta	I (rel.)
1 1 0	15.50	24
1 1 1	19.01	91
2 1 0	24.62	15
2 1 1	27.01	13
2 2 0	31.29	100
3 1 1	36.87	54
4 0 0	44.84	18
3 3 1	49.12	24
4 2 2	55.70	37
5 1 1	59.40	18
5 3 1	68.68	18
6 2 0	74.18	15

a = 8.0850 Å, b = 8.0850 Å, c = 8.0850 Å
α = 90.00°, β = 90.00°, γ = 90.00°
Space group Pm-3m (No. 221)
One atom of each set of equivalent atoms:
K  0.2454  0.2454  0.2454
Au  0.0000  0.0000  0.5000